Simulated powder diffraction line list
Compound: SrNdSi4Os2
Radiation: a wavelength of 1.5418 Å
Structure: DFT lattice parameters and positions (GGA-PBE)
Intensities are scaled so that the largest is 100.

Structural model:
```
SrNdSi4Os2
1.0
4.560 0.000 0.000
0.000 4.127 0.000
-1.759 0.000 8.158
Sr Nd Si Os
1 1 4 2
direct
0.000 0.000 0.000
0.172 0.500 0.399
0.250 0.000 0.690
0.546 0.500 0.106
0.624 0.000 0.291
0.915 0.500 0.702
0.461 0.500 0.808
0.704 0.000 0.582
```

The 8 most intense peaks (10 to 90 degrees two-theta), low angle first:
10.84 deg, rel. 100, hkl 0 0 1; 29.49 deg, rel. 46, hkl 1 1 0; 29.97 deg, rel. 90, hkl 1 1 -1; 30.82 deg, rel. 72, hkl 0 1 2; 32.74 deg, rel. 38, hkl 1 0 2; 34.84 deg, rel. 48, hkl 1 0 -3; 39.59 deg, rel. 34, hkl 2 0 -1; 39.69 deg, rel. 47, hkl 0 1 3